The following is a simulated X-ray powder pattern of Pm4Er3Au4. It was derived from a cell relaxed with PBE, using copper Kα.
Peak positions follow from Bragg's law for the DFT cell and can differ from measured ones.

Atomic structure:
```
Pm4Er3Au4
1.0
-1.878 4.651 8.648
1.878 -4.651 8.648
1.878 4.651 -8.648
Pm Er Au
4 3 4
Cartesian
1.878 -2.938 5.869
0.000 1.713 2.779
1.878 2.938 5.869
0.000 7.588 2.779
1.878 0.000 0.000
0.000 0.000 6.903
0.000 0.000 10.393
1.878 0.000 4.530
0.000 2.995 0.000
0.000 6.306 0.000
0.000 4.651 4.119
```

The 6 most intense peaks (2θ from 15° to 90°), by angle:
two_theta, intensity
31.04, 73
32.80, 67
33.02, 100
36.68, 34
39.07, 53
59.42, 30

The following is a simulated X-ray powder pattern of PrErSc2Au4. It was derived from a cell relaxed with PBE, using copper Kα.
Peak positions follow from Bragg's law for the DFT cell and can differ from measured ones.

Atomic structure:
```
PrErSc2Au4
1.0
2.414 1.394 8.988
-2.414 1.394 8.988
0.000 -2.787 8.988
Pr Er Sc Au
1 1 2 4
Cartesian
0.000 0.000 0.000
0.000 0.000 13.482
0.000 0.000 6.611
0.000 0.000 20.354
0.000 0.000 3.192
0.000 0.000 10.579
0.000 0.000 16.385
0.000 0.000 23.773
```

The 6 most intense peaks (2θ from 15° to 90°), by angle:
two_theta, intensity
22.26, 29
34.17, 93
37.25, 100
39.78, 32
51.44, 29
65.21, 29

The following is a simulated X-ray powder pattern of Er8PtAu2. It was derived from a cell relaxed with PBE, using copper Kα.
Peak positions follow from Bragg's law for the DFT cell and can differ from measured ones.

Atomic structure:
```
Er8PtAu2
1.0
8.745 -2.527 0.000
8.745 2.527 0.000
-1.671 0.000 6.522
Er Pt Au
8 1 2
Cartesian
0.051 0.000 1.837
2.222 0.000 5.373
5.036 0.000 3.451
7.086 0.000 0.394
8.734 0.000 6.128
10.783 0.000 3.071
13.598 0.000 1.149
15.768 0.000 4.685
7.910 0.000 3.261
2.906 0.000 1.513
12.913 0.000 5.010
```

The 6 most intense peaks (2θ from 15° to 90°), by angle:
two_theta, intensity
29.28, 27
31.79, 43
31.96, 100
34.22, 52
35.52, 73
37.69, 56

The following is a simulated X-ray powder pattern of ErPt3Au. It was derived from a cell relaxed with PBE, using copper Kα.
Peak positions follow from Bragg's law for the DFT cell and can differ from measured ones.

Atomic structure:
```
ErPt3Au
1.0
4.608 0.000 0.000
0.000 5.784 0.000
0.000 0.000 7.206
Er Pt Au
2 6 2
Cartesian
1.152 1.446 1.253
3.456 4.338 5.952
1.152 0.127 5.461
1.152 2.765 5.461
1.152 4.338 0.577
3.456 1.446 6.629
3.456 3.019 1.744
3.456 5.657 1.744
1.152 4.338 3.251
3.456 1.446 3.955
```

The 6 most intense peaks (2θ from 15° to 90°), by angle:
two_theta, intensity
35.22, 50
38.83, 100
39.10, 49
39.98, 30
42.44, 44
57.16, 21

The following is a simulated X-ray powder pattern of Er4Pt7Au. It was derived from a cell relaxed with PBE, using copper Kα.
Peak positions follow from Bragg's law for the DFT cell and can differ from measured ones.

Atomic structure:
```
Er4Pt7Au
1.0
5.452 0.000 0.000
1.435 5.359 0.000
1.510 0.051 8.052
Er Pt Au
4 7 1
Cartesian
1.049 1.866 1.646
3.640 3.926 2.857
4.757 1.483 5.195
7.347 3.544 6.406
1.493 4.551 1.070
2.081 1.421 4.377
4.518 4.407 5.714
3.443 2.679 0.000
3.879 1.003 2.338
6.316 3.989 3.674
6.904 0.859 6.981
2.726 0.000 0.000
```

The 6 most intense peaks (2θ from 15° to 90°), by angle:
two_theta, intensity
34.82, 100
35.24, 55
36.44, 73
40.49, 79
42.44, 89
44.56, 78

The following is a simulated X-ray powder pattern of ErTiPtAu. It was derived from a cell relaxed with PBE, using copper Kα.
Peak positions follow from Bragg's law for the DFT cell and can differ from measured ones.

Atomic structure:
```
ErTiPtAu
1.0
0.000 3.380 3.380
3.380 0.000 3.380
3.380 3.380 0.000
Er Ti Pt Au
1 1 1 1
Cartesian
0.000 0.000 0.000
3.380 3.380 3.380
1.690 1.690 1.690
5.070 5.070 5.070
```

The 6 most intense peaks (2θ from 15° to 90°), by angle:
two_theta, intensity
22.79, 9
26.37, 11
37.64, 100
54.28, 17
67.94, 36
80.36, 11